# 1
# NdDy2Tm4
Computed XRD peak list, λ = 1.5418 Å (Cu Kα). Input: a PBE-relaxed structure.
Peak positions follow from Bragg's law for the DFT cell and can differ from measured ones.

Cell and atoms:
```
NdDy2Tm4
1.0
5.986 0.000 0.000
2.987 7.876 0.000
2.963 -0.219 9.329
Nd Dy Tm
2 4 8
direct
0.000 0.000 0.000
0.288 0.143 0.277
0.176 0.639 0.776
0.183 0.572 0.139
0.882 0.504 0.502
0.986 0.072 0.639
0.355 0.717 0.416
0.385 0.221 0.913
0.431 0.284 0.560
0.564 0.859 0.717
0.610 0.780 0.061
0.740 0.363 0.217
0.777 0.427 0.862
0.807 0.922 0.364
```

Most intense lines, 2θ from 10° to 90°, low angle first:
d/Å	Rel. int.
3.359	17
2.993	34
2.869	67
2.850	32
2.748	100
2.736	98
2.075	12
2.068	12
1.829	18
1.635	21
1.625	20
1.537	13

---

# 2
# Zr4Hg3
Computed XRD peak list, λ = 1.5418 Å (Cu Kα). Input: a PBE-relaxed structure.
Peak positions follow from Bragg's law for the DFT cell and can differ from measured ones.

Cell and atoms:
```
Zr4Hg3
1.0
-1.646 2.031 11.500
1.646 -2.031 11.500
1.646 2.031 -11.500
Zr Hg
4 3
direct
0.070 0.070 0.000
0.211 0.211 0.000
0.789 0.789 0.000
0.930 0.930 0.000
0.357 0.357 0.000
0.500 0.500 0.000
0.643 0.643 0.000
```

Most intense lines, 2θ from 10° to 90°, low angle first:
d/Å	Rel. int.
4.000	9
3.259	5
2.556	100
2.326	38
2.031	13
1.646	7
1.643	6
1.530	21
1.383	29
1.279	6
1.277	6
1.252	11

---

# 3
# CdTc2Os
Computed XRD peak list, λ = 1.5418 Å (Cu Kα). Input: a PBE-relaxed structure.
Peak positions follow from Bragg's law for the DFT cell and can differ from measured ones.

Cell and atoms:
```
CdTc2Os
1.0
2.787 0.000 0.000
0.000 2.787 0.000
0.000 0.000 8.146
Cd Tc Os
1 2 1
direct
0.000 0.000 0.000
0.500 0.500 0.274
0.500 0.500 0.726
0.000 0.000 0.500
```

Most intense lines, 2θ from 10° to 90°, low angle first:
d/Å	Rel. int.
8.146	22
4.073	5
2.787	3
2.300	100
2.037	15
1.971	33
1.945	7
1.416	19
1.394	10
1.221	9
1.192	24
1.150	10

---

# 4
# MgZnHg
Computed XRD peak list, λ = 1.5418 Å (Cu Kα). Input: a PBE-relaxed structure.
Peak positions follow from Bragg's law for the DFT cell and can differ from measured ones.

Cell and atoms:
```
MgZnHg
1.0
-4.382 6.062 3.426
4.382 -6.062 3.426
4.382 6.062 -3.426
Mg Zn Hg
6 6 6
direct
0.004 0.250 0.254
0.450 0.901 0.049
0.456 0.446 0.510
0.852 0.401 0.951
0.936 0.946 0.490
0.996 0.750 0.746
0.217 0.381 0.930
0.217 0.787 0.335
0.451 0.287 0.070
0.451 0.881 0.665
0.677 0.177 0.500
0.677 0.677 0.000
0.115 0.454 0.672
0.115 0.943 0.161
0.385 0.185 0.700
0.485 0.685 0.300
0.782 0.443 0.328
0.782 0.954 0.839
```

Most intense lines, 2θ from 10° to 90°, low angle first:
d/Å	Rel. int.
4.382	43
3.551	35
3.531	90
3.481	99
3.426	70
2.726	54
2.466	100
2.190	53
2.016	30
1.998	45
1.989	32
1.854	41

---

# 5
# SrCrP2
Computed XRD peak list, λ = 1.5418 Å (Cu Kα). Input: a PBE-relaxed structure.
Peak positions follow from Bragg's law for the DFT cell and can differ from measured ones.

Cell and atoms:
```
SrCrP2
1.0
3.449 -1.899 0.000
3.449 1.899 0.000
-2.067 0.000 6.123
Sr Cr P
1 1 2
direct
0.000 0.000 0.000
0.500 0.500 0.500
0.227 0.227 0.669
0.773 0.773 0.331
```

Most intense lines, 2θ from 10° to 90°, low angle first:
d/Å	Rel. int.
3.268	15
3.109	28
3.061	23
2.717	100
2.708	48
2.444	13
1.966	42
1.945	12
1.899	19
1.874	21
1.620	12
1.555	16

---

# 6
# Er2BiP2N6
Computed XRD peak list, λ = 1.5418 Å (Cu Kα). Input: a PBE-relaxed structure.
Peak positions follow from Bragg's law for the DFT cell and can differ from measured ones.

Cell and atoms:
```
Er2BiP2N6
1.0
6.264 0.000 0.000
3.094 5.532 0.000
3.115 1.517 5.337
Er Bi P N
2 1 2 6
direct
0.188 0.184 0.184
0.812 0.816 0.816
0.500 0.500 0.500
0.263 0.830 0.828
0.737 0.170 0.172
0.212 0.957 0.569
0.213 0.570 0.954
0.347 0.941 0.938
0.653 0.059 0.062
0.787 0.430 0.046
0.788 0.043 0.431
```

Most intense lines, 2θ from 10° to 90°, low angle first:
d/Å	Rel. int.
5.096	100
3.339	60
3.183	63
2.799	25
2.787	23
2.703	98
2.693	34
2.548	15
2.030	15
1.993	19
1.897	20
1.780	20

---

# 7
# TaReSi
Computed XRD peak list, λ = 1.5418 Å (Cu Kα). Input: a PBE-relaxed structure.
Peak positions follow from Bragg's law for the DFT cell and can differ from measured ones.

Cell and atoms:
```
TaReSi
1.0
-3.501 5.794 3.356
3.501 -5.794 3.356
3.501 5.794 -3.356
Ta Re Si
6 6 6
direct
0.004 0.250 0.254
0.407 0.371 0.536
0.422 0.867 0.055
0.812 0.367 0.945
0.834 0.871 0.464
0.996 0.750 0.746
0.158 0.319 0.907
0.158 0.751 0.339
0.412 0.251 0.093
0.412 0.819 0.661
0.663 0.163 0.500
0.663 0.663 0.000
0.082 0.418 0.672
0.082 0.910 0.163
0.373 0.149 0.724
0.425 0.649 0.276
0.746 0.410 0.328
0.746 0.918 0.837
```

Most intense lines, 2θ from 10° to 90°, low angle first:
d/Å	Rel. int.
3.350	26
2.997	19
2.420	100
2.234	50
2.197	24
2.192	41
1.936	8
1.750	14
1.463	16
1.461	8
1.368	21
1.244	12

---

# 8
# Pm5Sm5Sb6
Computed XRD peak list, λ = 1.5418 Å (Cu Kα). Input: a PBE-relaxed structure.
Peak positions follow from Bragg's law for the DFT cell and can differ from measured ones.

Cell and atoms:
```
Pm5Sm5Sb6
1.0
6.456 0.000 0.000
0.000 8.008 4.618
0.000 -8.008 4.618
Pm Sm Sb
5 5 6
direct
0.000 0.000 0.000
0.250 0.582 0.915
0.250 0.915 0.582
0.750 0.582 0.915
0.750 0.915 0.582
0.000 0.248 0.498
0.000 0.498 0.248
0.500 0.249 0.999
0.500 0.497 0.497
0.500 0.999 0.249
0.000 0.249 0.862
0.000 0.634 0.634
0.000 0.862 0.249
0.500 0.249 0.635
0.500 0.635 0.249
0.500 0.862 0.862
```

Most intense lines, 2θ from 10° to 90°, low angle first:
d/Å	Rel. int.
3.228	18
3.025	31
2.994	18
2.739	100
2.668	56
2.646	85
1.879	23
1.766	15
1.754	27
1.701	15
1.434	14
1.381	14